Entry 1:
Structure and theoretical X-ray diffraction stick pattern of NpBi3O8 (the PBE geometry in Alexandria; Cu Kα (weighted mean of Kα1 and Kα2)).

Principal peaks in the range 2θ from 10° to 80°, by angle:
d [Å]  Position (°2θ)  I_rel
3.164  28.2  100.0
2.740  32.7  36.7
1.937  46.9  49.9
1.652  55.6  47.3
1.257  75.6  19.8
1.225  78.0  15.0

Cell and atoms:
Lattice parameters (Å, degrees): 5.480 5.480 5.480 90.00 90.00 90.00
Atoms (fractional coordinates):
Np 0.000 0.000 0.000
Bi 0.000 0.500 0.500
Bi 0.500 0.000 0.500
Bi 0.500 0.500 0.000
O 0.234 0.234 0.234
O 0.234 0.234 0.766
O 0.234 0.766 0.234
O 0.234 0.766 0.766
O 0.766 0.234 0.234
O 0.766 0.234 0.766
O 0.766 0.766 0.234
O 0.766 0.766 0.766

Entry 2:
Structure and theoretical X-ray diffraction stick pattern of NpBiPb2O8 (the PBE geometry in Alexandria; Cu Kα (weighted mean of Kα1 and Kα2)).

Principal peaks in the range 2θ from 10° to 80°, by angle:
d [Å]  Position (°2θ)  I_rel
3.720  23.9  54.8
3.676  24.2  52.0
2.925  30.6  100.0
2.615  34.3  33.0
1.956  46.4  39.7
1.943  46.8  38.2

Cell and atoms:
Lattice parameters (Å, degrees): 5.230 5.230 7.056 90.00 90.00 90.68
Atoms (fractional coordinates):
Np 0.000 0.000 0.000
Bi 0.000 0.000 0.500
Pb 0.500 0.500 0.249
Pb 0.500 0.500 0.751
O 0.181 0.819 0.217
O 0.181 0.819 0.783
O 0.291 0.291 0.000
O 0.314 0.314 0.500
O 0.686 0.686 0.500
O 0.709 0.709 0.000
O 0.819 0.181 0.217
O 0.819 0.181 0.783

Number 1 is which compound?
NpBi3O8

What did the second record say?
Structure and theoretical X-ray diffraction stick pattern of NpBiPb2O8 (the PBE geometry in Alexandria; Cu Kα (weighted mean of Kα1 and Kα2)).

Principal peaks in the range 2θ from 10° to 80°, by angle:
d [Å]  Position (°2θ)  I_rel
3.720  23.9  54.8
3.676  24.2  52.0
2.925  30.6  100.0
2.615  34.3  33.0
1.956  46.4  39.7
1.943  46.8  38.2

Cell and atoms:
Lattice parameters (Å, degrees): 5.230 5.230 7.056 90.00 90.00 90.68
Atoms (fractional coordinates):
Np 0.000 0.000 0.000
Bi 0.000 0.000 0.500
Pb 0.500 0.500 0.249
Pb 0.500 0.500 0.751
O 0.181 0.819 0.217
O 0.181 0.819 0.783
O 0.291 0.291 0.000
O 0.314 0.314 0.500
O 0.686 0.686 0.500
O 0.709 0.709 0.000
O 0.819 0.181 0.217
O 0.819 0.181 0.783

Number 1 is which compound?
NpBi3O8